Starting from the GGA-PBE geometry in Alexandria, the X-ray powder pattern of Y3Tm2Se6 was calculated for CuKα.
Intensities are scaled so that the largest is 1000.

Structural model:
Cell lengths 7.008, 12.087, 6.981 Å; angles 90.00, 109.50, 90.00 degrees
Space group C2/m (No. 12)
Asymmetric unit:
Y: 0.000 0.000 0.000 x2
Y: 0.000 0.335 0.000 x4
Tm: 0.000 0.165 0.500 x4
Se: 0.246 0.335 0.742 x8
Se: 0.249 0.500 0.261 x4

Peak list (12 most intense, 2θ = 5–70°, by angle)
hkl  d [Å]  Rel. int.
0 2 0  6.044  41
1 1 0  5.797  83
1 1 -1  5.164  69
0 2 1  4.451  46
1 1 1  3.829  36
1 3 1  2.853  1000
3 3 -1  2.020  366
0 6 0  2.015  362
4 0 0  1.652  71
2 6 -2  1.646  189
4 0 -4  1.428  39
2 6 2  1.426  78